This entry pairs a crystal structure of Cs11Fe10S16O with its computed powder XRD pattern. Radiation: a wavelength of 1.5418 Å. Structure: DFT lattice parameters and positions (GGA+U).
No peak broadening, texture or thermal motion is included.

Largest 8 diffraction maxima, by angle, 2θ = 5–70°:
- 22.22°, intensity 342
- 24.70°, intensity 264
- 28.35°, intensity 1000
- 30.35°, intensity 234
- 32.85°, intensity 361
- 43.45°, intensity 287
- 48.92°, intensity 293
- 52.70°, intensity 317

Cell and atoms:
```
data_Cs11Fe10S16O
_space_group_name_H-M_alt 'I 4/m m m'
_space_group_IT_number 139
_space_group_name_Hall '-I 4 2'
_cell_length_a 12.4953
_cell_length_b 12.4953
_cell_length_c 14.4190
_cell_angle_alpha 90.00
_cell_angle_beta 90.00
_cell_angle_gamma 90.00
loop_
_atom_site_label
_atom_site_type_symbol
_atom_site_fract_x
_atom_site_fract_y
_atom_site_fract_z
Cs1 Cs 0.0000 0.0000 0.0000
Cs2 Cs 0.0000 0.0000 0.2830
Cs3 Cs 0.0000 0.3291 0.0000
Cs4 Cs 0.1675 0.1675 0.5000
Fe1 Fe 0.0000 0.5000 0.2500
Fe2 Fe 0.1678 0.3322 0.2500
S1 S 0.0000 0.3450 0.3403
S2 S 0.1772 0.1772 0.1547
O1 O 0.0000 0.0000 0.5000
```

This entry pairs a crystal structure of CsFeSe2O8 with its computed powder XRD pattern. Radiation: a wavelength of 1.5418 Å. Structure: DFT lattice parameters and positions (GGA+U).
No peak broadening, texture or thermal motion is included.

Largest 8 diffraction maxima, by angle, 2θ = 5–70°:
- 19.58°, intensity 185
- 21.86°, intensity 905
- 27.65°, intensity 1000
- 29.16°, intensity 156
- 34.26°, intensity 498
- 44.21°, intensity 200
- 44.58°, intensity 259
- 57.40°, intensity 248

Cell and atoms:
```
data_CsFeSe2O8
_space_group_name_H-M_alt 'P 3 2 1'
_space_group_IT_number 150
_space_group_name_Hall 'P 3 2"'
_cell_length_a 5.2343
_cell_length_b 5.2343
_cell_length_c 9.1870
_cell_angle_alpha 90.00
_cell_angle_beta 90.00
_cell_angle_gamma 120.00
loop_
_atom_site_label
_atom_site_type_symbol
_atom_site_fract_x
_atom_site_fract_y
_atom_site_fract_z
Cs1 Cs 0.0000 0.0000 0.0000
Fe1 Fe 0.0000 0.0000 0.5000
Se1 Se 0.3333 0.6667 0.6985
O1 O 0.0735 0.3324 0.6401
O2 O 0.3333 0.6667 0.8782
```

This entry pairs a crystal structure of CsFeSiO4 with its computed powder XRD pattern. Radiation: a wavelength of 1.5418 Å. Structure: DFT lattice parameters and positions (GGA+U).
No peak broadening, texture or thermal motion is included.

Largest 8 diffraction maxima, by angle, 2θ = 5–70°:
- 18.11°, intensity 111
- 25.91°, intensity 453
- 26.59°, intensity 1000
- 28.90°, intensity 122
- 31.55°, intensity 234
- 31.72°, intensity 200
- 43.47°, intensity 186
- 50.23°, intensity 158

Cell and atoms:
```
data_CsFeSiO4
_space_group_name_H-M_alt 'P n a 21'
_space_group_IT_number 33
_space_group_name_Hall 'P 2c -2n'
_cell_length_a 9.1942
_cell_length_b 9.8390
_cell_length_c 5.6410
_cell_angle_alpha 90.00
_cell_angle_beta 90.00
_cell_angle_gamma 90.00
loop_
_atom_site_label
_atom_site_type_symbol
_atom_site_fract_x
_atom_site_fract_y
_atom_site_fract_z
Cs1 Cs 0.0006 0.1982 0.0000
Fe1 Fe 0.1813 0.5858 0.9842
Si1 Si 0.1984 0.4191 0.4844
O1 O 0.0210 0.4155 0.4852
O2 O 0.2387 0.9750 0.2403
O3 O 0.2399 0.7660 0.9311
O4 O 0.2410 0.0211 0.7737
```

This entry pairs a crystal structure of CsMnGa2P3H4O14 with its computed powder XRD pattern. Radiation: a wavelength of 1.5418 Å. Structure: DFT lattice parameters and positions (GGA+U).
No peak broadening, texture or thermal motion is included.

Largest 8 diffraction maxima, by angle, 2θ = 5–70°:
- 21.49°, intensity 399
- 26.03°, intensity 614
- 26.39°, intensity 511
- 27.59°, intensity 426
- 28.51°, intensity 778
- 28.65°, intensity 1000
- 32.43°, intensity 432
- 34.64°, intensity 386

Cell and atoms:
```
data_CsMnGa2P3H4O14
_space_group_name_H-M_alt 'C 1 2/c 1'
_space_group_IT_number 15
_space_group_name_Hall '-C 2yc'
_cell_length_a 13.7564
_cell_length_b 10.4906
_cell_length_c 8.9972
_cell_angle_alpha 90.00
_cell_angle_beta 108.82
_cell_angle_gamma 90.00
loop_
_atom_site_label
_atom_site_type_symbol
_atom_site_fract_x
_atom_site_fract_y
_atom_site_fract_z
Cs1 Cs 0.0000 0.1398 0.2500
Mn1 Mn 0.0000 0.2204 0.7500
Ga1 Ga 0.1718 0.4254 0.5736
P1 P 0.0000 0.4965 0.7500
P2 P 0.2085 0.1289 0.6725
H1 H 0.1584 0.2686 0.0508
H2 H 0.1604 0.1222 0.0026
O1 O 0.0600 0.4137 0.3846
O2 O 0.0713 0.4035 0.6973
O3 O 0.0986 0.1065 0.6703
O4 O 0.1164 0.1982 0.9895
O5 O 0.2103 0.4120 0.1659
O6 O 0.2260 0.0500 0.5366
O7 O 0.2354 0.2722 0.6610
```

This entry pairs a crystal structure of CsVGaP2O10 with its computed powder XRD pattern. Radiation: a wavelength of 1.5418 Å. Structure: DFT lattice parameters and positions (GGA+U).
No peak broadening, texture or thermal motion is included.

Largest 8 diffraction maxima, by angle, 2θ = 5–70°:
- 21.66°, intensity 741
- 22.09°, intensity 779
- 24.97°, intensity 240
- 26.19°, intensity 395
- 27.40°, intensity 768
- 27.67°, intensity 1000
- 27.83°, intensity 253
- 31.74°, intensity 663

Cell and atoms:
```
data_CsVGaP2O10
_space_group_name_H-M_alt 'P 1 21/c 1'
_space_group_IT_number 14
_space_group_name_Hall '-P 2ybc'
_cell_length_a 8.0947
_cell_length_b 8.2056
_cell_length_c 14.4626
_cell_angle_alpha 90.00
_cell_angle_beta 106.68
_cell_angle_gamma 90.00
loop_
_atom_site_label
_atom_site_type_symbol
_atom_site_fract_x
_atom_site_fract_y
_atom_site_fract_z
Cs1 Cs 0.1796 0.0274 0.2954
V1 V 0.2994 0.5477 0.1330
Ga1 Ga 0.2238 0.0398 0.9731
P1 P 0.0033 0.2234 0.5389
P2 P 0.4989 0.6029 0.6492
O1 O 0.0578 0.6187 0.4209
O2 O 0.0950 0.2296 0.9612
O3 O 0.1222 0.1341 0.6259
O4 O 0.1559 0.6153 0.0079
O5 O 0.2181 0.6605 0.2041
O6 O 0.3295 0.5074 0.6005
O7 O 0.3535 0.0389 0.8891
O8 O 0.4290 0.0951 0.5716
O9 O 0.4587 0.0716 0.7418
O10 O 0.4746 0.7136 0.1266
```

This entry pairs a crystal structure of CsGdMo2O8 with its computed powder XRD pattern. Radiation: a wavelength of 1.5418 Å. Structure: DFT lattice parameters and positions (GGA+U).
No peak broadening, texture or thermal motion is included.

Largest 8 diffraction maxima, by angle, 2θ = 5–70°:
- 9.07°, intensity 360
- 25.13°, intensity 770
- 27.73°, intensity 1000
- 28.95°, intensity 256
- 34.80°, intensity 135
- 43.95°, intensity 144
- 45.08°, intensity 161
- 45.90°, intensity 236

Cell and atoms:
```
data_CsGdMo2O8
_space_group_name_H-M_alt 'P 1 2/c 1'
_space_group_IT_number 13
_space_group_name_Hall '-P 2yc'
_cell_length_a 9.7624
_cell_length_b 5.1559
_cell_length_c 8.2460
_cell_angle_alpha 90.00
_cell_angle_beta 92.40
_cell_angle_gamma 90.00
loop_
_atom_site_label
_atom_site_type_symbol
_atom_site_fract_x
_atom_site_fract_y
_atom_site_fract_z
Cs1 Cs 0.0000 0.0150 0.2500
Gd1 Gd 0.5000 0.0030 0.7500
Mo1 Mo 0.3073 0.4774 0.4873
O1 O 0.1426 0.3859 0.9749
O2 O 0.3103 0.2484 0.6537
O3 O 0.3212 0.2775 0.3081
O4 O 0.4345 0.2518 0.9917
```

This entry pairs a crystal structure of CsGdMo2O8 with its computed powder XRD pattern. Radiation: a wavelength of 1.5418 Å. Structure: DFT lattice parameters and positions (GGA+U).
No peak broadening, texture or thermal motion is included.

Largest 8 diffraction maxima, by angle, 2θ = 5–70°:
- 9.14°, intensity 394
- 25.35°, intensity 962
- 27.54°, intensity 1000
- 28.18°, intensity 577
- 43.20°, intensity 239
- 45.63°, intensity 442
- 46.88°, intensity 211
- 50.77°, intensity 274

Cell and atoms:
```
data_CsGdMo2O8
_space_group_name_H-M_alt 'P c c m'
_space_group_IT_number 49
_space_group_name_Hall '-P 2 2c'
_cell_length_a 5.1086
_cell_length_b 9.6795
_cell_length_c 8.3737
_cell_angle_alpha 90.00
_cell_angle_beta 90.00
_cell_angle_gamma 90.00
loop_
_atom_site_label
_atom_site_type_symbol
_atom_site_fract_x
_atom_site_fract_y
_atom_site_fract_z
Cs1 Cs 0.0000 0.0000 0.2500
Gd1 Gd 0.0000 0.5000 0.2500
Mo1 Mo 0.4782 0.3031 0.0000
O1 O 0.2498 0.4312 0.5000
O2 O 0.2623 0.3133 0.1711
O3 O 0.3792 0.1382 0.5000
```

This entry pairs a crystal structure of CsGdMo2O8 with its computed powder XRD pattern. Radiation: a wavelength of 1.5418 Å. Structure: DFT lattice parameters and positions (GGA+U).
No peak broadening, texture or thermal motion is included.

Largest 8 diffraction maxima, by angle, 2θ = 5–70°:
- 27.12°, intensity 258
- 27.24°, intensity 1000
- 28.20°, intensity 789
- 30.16°, intensity 387
- 32.77°, intensity 142
- 45.56°, intensity 171
- 46.34°, intensity 196
- 52.94°, intensity 171

Cell and atoms:
```
data_CsGdMo2O8
_space_group_name_H-M_alt 'C 1 2/c 1'
_space_group_IT_number 15
_space_group_name_Hall '-C 2yc'
_cell_length_a 10.9483
_cell_length_b 10.7527
_cell_length_c 7.8546
_cell_angle_alpha 90.00
_cell_angle_beta 131.02
_cell_angle_gamma 90.00
loop_
_atom_site_label
_atom_site_type_symbol
_atom_site_fract_x
_atom_site_fract_y
_atom_site_fract_z
Cs1 Cs 0.0000 0.1972 0.2500
Gd1 Gd 0.0000 0.2295 0.7500
Mo1 Mo 0.1934 0.4991 0.7337
O1 O 0.0239 0.3934 0.9694
O2 O 0.1334 0.0782 0.6985
O3 O 0.1877 0.4301 0.4330
O4 O 0.2276 0.1553 0.1276
```